(1)
Diffraction record for Y3Ho2Th. The powder X-ray diffraction pattern is simulated, not measured: it uses a GGA-PBE-relaxed structure and CuKα.

Structure:
Unit cell a=12.2899 b=5.8224 c=11.3077 alpha=90.00 beta=108.02 gamma=90.00
Space group C2/m (No. 12)
Symmetry-distinct sites (fractional):
Y  0.1208  0.0000  0.2882 [4 per cell]
Y  0.1265  0.0000  0.9618 [4 per cell]
Y  0.1294  0.5000  0.4713 [4 per cell]
Ho  0.1270  0.5000  0.1130 [4 per cell]
Ho  0.1294  0.0000  0.6274 [4 per cell]
Th  0.1099  0.5000  0.7865 [4 per cell]

Top 12 peaks for 10° ≤ 2θ ≤ 90°, by angle:
(hkl), Position (°2θ), I_rel
4 0 0, 30.60, 54
0 2 0, 30.71, 56
3 1 -3, 32.14, 100
1 1 3, 32.20, 97
4 2 0, 43.90, 41
2 0 -6, 48.29, 15
7 1 -3, 55.33, 20
3 3 -3, 55.51, 60
2 2 -6, 58.33, 25
6 2 -6, 67.23, 11
2 2 6, 67.38, 10
3 5 -3, 89.72, 11


(2)
Diffraction record for YHo7Th2. The powder X-ray diffraction pattern is simulated, not measured: it uses a GGA-PBE-relaxed structure and CuKα.

Structure:
Unit cell a=6.1341 b=7.0664 c=7.9440 alpha=77.08 beta=74.82 gamma=73.64
Space group P-1 (No. 2)
Symmetry-distinct sites (fractional):
Y  0.0000  0.0000  0.0000 [1 per cell]
Ho  0.0000  0.5000  0.0000 [1 per cell]
Ho  0.1976  0.2987  0.5987 [2 per cell]
Ho  0.3955  0.0993  0.2053 [2 per cell]
Ho  0.4035  0.5989  0.2026 [2 per cell]
Th  0.1984  0.8008  0.5989 [2 per cell]

Top 12 peaks for 10° ≤ 2θ ≤ 90°, by angle:
(hkl), Position (°2θ), I_rel
2 0 1, 30.83, 34
1 2 2, 30.93, 100
1 0 3, 35.74, 45
2 2 0, 36.03, 22
2 -2 2, 51.36, 8
3 2 3, 51.54, 16
3 0 -1, 51.65, 16
3 -2 0, 61.11, 10
1 -4 0, 61.23, 19
0 4 3, 61.32, 10
3 4 2, 61.65, 14
2 4 4, 64.46, 12


(3)
Diffraction record for Y3Ho7Th2. The powder X-ray diffraction pattern is simulated, not measured: it uses a GGA-PBE-relaxed structure and CuKα.

Structure:
Unit cell a=3.5653 b=6.1527 c=17.3485 alpha=93.48 beta=95.89 gamma=90.00
Space group P-1 (No. 2)
Symmetry-distinct sites (fractional):
Y  0.0000  0.0000  0.0000 [1 per cell]
Y  0.3336  0.4458  0.6676 [2 per cell]
Ho  0.0835  0.3599  0.1662 [2 per cell]
Ho  0.2511  0.7590  0.5023 [2 per cell]
Ho  0.4159  0.1352  0.8322 [2 per cell]
Ho  0.5000  0.5000  0.0000 [1 per cell]
Th  0.1660  0.0566  0.3316 [2 per cell]

Top 12 peaks for 10° ≤ 2θ ≤ 90°, by angle:
(hkl), Position (°2θ), I_rel
0 2 -2, 30.26, 100
0 0 6, 31.15, 79
1 1 2, 32.18, 86
1 1 -4, 33.83, 52
0 2 3, 33.94, 25
0 2 -4, 34.82, 23
1 -1 4, 36.87, 39
0 2 -8, 50.25, 25
2 0 -1, 51.25, 20
1 3 -1, 51.40, 39
2 0 5, 61.23, 35
1 3 -7, 61.35, 34


(4)
Diffraction record for Y8Ho2Th. The powder X-ray diffraction pattern is simulated, not measured: it uses a GGA-PBE-relaxed structure and CuKα.

Structure:
Unit cell a=18.2036 b=5.0479 c=7.9810 alpha=90.00 beta=105.24 gamma=90.00
Space group C2/m (No. 12)
Symmetry-distinct sites (fractional):
Y  0.0452  0.0000  0.2325 [4 per cell]
Y  0.0911  0.5000  0.9524 [4 per cell]
Y  0.1356  0.0000  0.6813 [4 per cell]
Y  0.1806  0.5000  0.4085 [4 per cell]
Ho  0.2281  0.0000  0.1351 [4 per cell]
Th  0.0000  0.5000  0.5000 [2 per cell]

Top 12 peaks for 10° ≤ 2θ ≤ 90°, by angle:
(hkl), Position (°2θ), I_rel
2 0 -1, 13.15, 4
2 0 1, 17.20, 4
4 0 0, 20.22, 3
1 1 -1, 20.92, 5
1 1 2, 30.67, 100
6 0 1, 35.57, 50
6 2 1, 51.18, 35
11 1 0, 60.86, 42
2 2 4, 63.88, 12
0 4 0, 75.31, 4
11 3 0, 83.47, 17
6 4 1, 86.15, 16


(5)
Diffraction record for Y8Ho3Th2. The powder X-ray diffraction pattern is simulated, not measured: it uses a GGA-PBE-relaxed structure and CuKα.

Structure:
Unit cell a=6.6675 b=17.5264 c=7.6360 alpha=90.00 beta=106.52 gamma=90.00
Space group P2_1/c (No. 14)
Symmetry-distinct sites (fractional):
Y  0.0869  0.0732  0.1489 [4 per cell]
Y  0.1318  0.0818  0.6335 [4 per cell]
Y  0.3518  0.2395  0.9633 [4 per cell]
Y  0.3593  0.6143  0.1778 [4 per cell]
Ho  0.1063  0.7462  0.4020 [4 per cell]
Ho  0.5000  0.0000  0.0000 [2 per cell]
Th  0.3434  0.6104  0.7525 [4 per cell]

Top 12 peaks for 10° ≤ 2θ ≤ 90°, by angle:
(hkl), Position (°2θ), I_rel
1 1 0, 14.75, 10
0 2 1, 15.77, 8
0 6 0, 30.61, 11
2 3 0, 31.89, 100
1 2 2, 33.07, 7
2 2 -2, 33.15, 7
1 5 -2, 35.47, 9
1 1 -3, 35.83, 6
1 0 -4, 47.64, 6
1 7 2, 48.41, 6
1 3 4, 58.42, 7
3 4 2, 59.94, 6


(6)
Diffraction record for YHo6Th12. The powder X-ray diffraction pattern is simulated, not measured: it uses a GGA-PBE-relaxed structure and CuKα.

Structure:
Unit cell a=13.3125 b=13.3125 c=12.3367 alpha=90.00 beta=90.00 gamma=120.00
Space group R-3m (No. 166, hexagonal axes)
Symmetry-distinct sites (fractional):
Y  0.0000  0.0000  0.0000 [3 per cell]
Ho  0.0411  0.5206  0.6197 [18 per cell]
Th  0.0000  0.2532  0.5000 [18 per cell]
Th  0.0888  0.1777  0.2608 [18 per cell]

Top 12 peaks for 10° ≤ 2θ ≤ 90°, by angle:
(hkl), Position (°2θ), I_rel
1 3 1, 28.84, 11
1 0 4, 29.99, 27
3 1 2, 31.51, 29
4 0 1, 31.88, 100
0 4 2, 34.34, 24
2 2 3, 34.68, 20
3 0 6, 50.34, 15
4 4 0, 55.20, 15
7 0 1, 56.33, 10
4 3 4, 57.03, 13
0 7 2, 57.94, 11
0 8 1, 65.17, 14


(7)
Diffraction record for Y2HoTh4. The powder X-ray diffraction pattern is simulated, not measured: it uses a GGA-PBE-relaxed structure and CuKα.

Structure:
Unit cell a=9.2636 b=9.2636 c=5.6399 alpha=90.00 beta=90.00 gamma=90.00
Space group P4_2/mnm (No. 136)
Symmetry-distinct sites (fractional):
Y  0.1758  0.1758  0.0000 [4 per cell]
Ho  0.0000  0.0000  0.5000 [2 per cell]
Th  0.1123  0.3722  0.5000 [8 per cell]

Top 12 peaks for 10° ≤ 2θ ≤ 90°, by angle:
(hkl), Position (°2θ), I_rel
1 1 0, 13.52, 26
1 1 1, 20.78, 20
3 1 0, 30.52, 27
2 2 1, 31.59, 100
0 0 2, 31.73, 38
3 0 1, 33.07, 17
3 1 1, 34.50, 39
4 0 0, 38.89, 17
3 1 2, 44.60, 20
2 2 3, 56.44, 20
5 1 2, 60.61, 23
4 4 2, 65.92, 29


(8)
Diffraction record for Y3Ho2Th. The powder X-ray diffraction pattern is simulated, not measured: it uses a GGA-PBE-relaxed structure and CuKα.

Structure:
Unit cell a=9.4151 b=12.4147 c=6.7669 alpha=90.00 beta=90.00 gamma=90.00
Space group Cmc2_1 (No. 36)
Symmetry-distinct sites (fractional):
Y  0.0000  0.1420  0.0000 [4 per cell]
Y  0.1727  0.3950  0.2462 [8 per cell]
Ho  0.1736  0.3408  0.7493 [8 per cell]
Th  0.0000  0.1489  0.4944 [4 per cell]

Top 12 peaks for 10° ≤ 2θ ≤ 90°, by angle:
(hkl), Position (°2θ), I_rel
0 2 0, 14.27, 30
1 1 1, 17.65, 38
0 2 1, 19.41, 30
0 4 0, 28.76, 78
1 1 2, 28.95, 86
3 1 0, 29.35, 93
0 4 1, 31.72, 36
2 0 2, 32.59, 100
1 3 2, 35.58, 98
3 3 0, 35.91, 99
2 4 2, 44.02, 55
3 3 4, 66.77, 46


(9)
Diffraction record for YHo5Th5. The powder X-ray diffraction pattern is simulated, not measured: it uses a GGA-PBE-relaxed structure and CuKα.

Structure:
Unit cell a=6.2941 b=6.2941 c=11.1348 alpha=90.00 beta=90.00 gamma=120.00
Space group P-6m2 (No. 187)
Symmetry-distinct sites (fractional):
Y  0.0000  0.0000  0.0000 [1 per cell]
Ho  0.0000  0.0000  0.3275 [2 per cell]
Ho  0.3333  0.6667  0.1810 [2 per cell]
Ho  0.6667  0.3333  0.0000 [1 per cell]
Th  0.0134  0.5067  0.5000 [3 per cell]
Th  0.6667  0.3333  0.2685 [2 per cell]

Top 12 peaks for 10° ≤ 2θ ≤ 90°, by angle:
(hkl), Position (°2θ), I_rel
1 0 0, 16.26, 30
1 1 0, 28.36, 92
1 0 3, 29.11, 100
1 1 2, 32.69, 62
2 0 1, 33.86, 65
1 0 4, 36.23, 38
2 0 2, 36.71, 48
1 1 3, 37.47, 28
2 1 3, 50.68, 36
2 0 5, 53.07, 39
2 1 4, 55.49, 28
2 2 0, 58.67, 38


(10)
Diffraction record for Y5Ho4Th2. The powder X-ray diffraction pattern is simulated, not measured: it uses a GGA-PBE-relaxed structure and CuKα.

Structure:
Unit cell a=3.5392 b=8.8565 c=11.2381 alpha=89.21 beta=89.68 gamma=89.85
Space group P-1 (No. 2)
Symmetry-distinct sites (fractional):
Y  0.0000  0.0000  0.0000 [1 per cell]
Y  0.2428  0.1819  0.4786 [2 per cell]
Y  0.2680  0.3590  0.9110 [2 per cell]
Ho  0.2566  0.7321  0.7962 [2 per cell]
Ho  0.2840  0.9149  0.2622 [2 per cell]
Th  0.2496  0.5432  0.3624 [2 per cell]

Top 12 peaks for 10° ≤ 2θ ≤ 90°, by angle:
(hkl), Position (°2θ), I_rel
1 0 2, 29.76, 32
1 0 -2, 29.91, 14
0 3 1, 31.22, 61
1 1 2, 31.38, 27
0 2 -3, 31.52, 100
0 1 4, 33.32, 48
1 2 -1, 33.44, 60
1 -3 1, 40.69, 22
1 1 -5, 49.34, 16
0 5 -2, 54.54, 22
1 4 -4, 59.55, 22
-2 3 1, 61.71, 15


(11)
Diffraction record for YHo4Th6. The powder X-ray diffraction pattern is simulated, not measured: it uses a GGA-PBE-relaxed structure and CuKα.

Structure:
Unit cell a=6.3941 b=6.3941 c=18.0022 alpha=90.00 beta=90.00 gamma=90.00
Space group I-42m (No. 121)
Symmetry-distinct sites (fractional):
Y  0.0000  0.0000  0.0000 [2 per cell]
Ho  0.1840  0.1840  0.3737 [8 per cell]
Th  0.0000  0.5000  0.0000 [4 per cell]
Th  0.1883  0.1883  0.1890 [8 per cell]

Top 12 peaks for 10° ≤ 2θ ≤ 90°, by angle:
(hkl), Position (°2θ), I_rel
1 1 2, 22.00, 33
1 1 4, 27.96, 85
1 0 5, 28.45, 31
2 0 2, 29.65, 81
0 0 6, 29.78, 27
2 1 1, 31.68, 100
2 0 4, 34.41, 50
1 1 6, 35.92, 64
2 2 0, 39.88, 31
2 1 5, 40.28, 24
3 1 0, 44.83, 29
4 1 1, 59.86, 32


(12)
Diffraction record for YHo3Th2. The powder X-ray diffraction pattern is simulated, not measured: it uses a GGA-PBE-relaxed structure and CuKα.

Structure:
Unit cell a=10.0223 b=3.5653 c=10.6316 alpha=90.00 beta=90.02 gamma=90.00
Space group P2_1/m (No. 11)
Symmetry-distinct sites (fractional):
Y  0.1237  0.2500  0.2504 [2 per cell]
Ho  0.1325  0.2500  0.9180 [2 per cell]
Ho  0.3700  0.7500  0.4183 [2 per cell]
Ho  0.3756  0.7500  0.7503 [2 per cell]
Th  0.1238  0.2500  0.5821 [2 per cell]
Th  0.3788  0.7500  0.0820 [2 per cell]

Top 12 peaks for 10° ≤ 2θ ≤ 90°, by angle:
(hkl), Position (°2θ), I_rel
2 1 0, 30.78, 100
2 0 3, 30.90, 99
0 1 3, 35.72, 68
4 0 0, 35.84, 33
0 2 0, 51.25, 12
0 0 6, 51.52, 60
2 2 3, 61.05, 29
2 1 6, 61.30, 57
4 2 0, 64.11, 12
4 0 6, 64.40, 12
2 0 9, 84.17, 18
0 1 9, 86.87, 16